[1]
Computed powder X-ray diffraction pattern of Ac2TmGa2Pt7 for CuKα, from a crystal structure in Alexandria, relaxed with GGA-PBE.
Neutral-atom scattering factors, no anomalous dispersion.

Cell and atoms:
```
Ac2TmGa2Pt7
1.0
2.981 -2.962 0.000
2.981 2.962 0.000
-1.793 0.000 14.069
Ac Tm Ga Pt
2 1 2 7
Direct
0.094 0.094 0.352 Ac
0.906 0.906 0.648 Ac
0.000 0.000 0.000 Tm
0.428 0.428 0.757 Ga
0.572 0.572 0.243 Ga
0.043 0.543 0.145 Pt
0.399 0.399 0.579 Pt
0.457 0.957 0.855 Pt
0.500 0.500 0.000 Pt
0.543 0.043 0.145 Pt
0.601 0.601 0.421 Pt
0.957 0.457 0.855 Pt
```

Principal peaks in the range 10 to 80 degrees two-theta, most intense first:
d 2.504, 2θ = 35.86°, rel. 100; d 2.097, 2θ = 43.13°, rel. 66; d 2.611, 2θ = 34.35°, rel. 63; d 2.093, 2θ = 43.23°, rel. 57; d 2.658, 2θ = 33.73°, rel. 51; d 2.898, 2θ = 30.85°, rel. 36; d 3.517, 2θ = 25.32°, rel. 29; d 2.581, 2θ = 34.75°, rel. 25; d 1.288, 2θ = 73.55°, rel. 25; d 2.438, 2θ = 36.86°, rel. 24



[2]
Computed powder X-ray diffraction pattern of Tl4AgHg3 for CuKα, from a crystal structure in Alexandria, relaxed with GGA-PBE.
Neutral-atom scattering factors, no anomalous dispersion.

Cell and atoms:
```
Tl4AgHg3
1.0
3.587 0.000 0.000
0.000 3.587 0.000
0.000 0.000 17.180
Tl Ag Hg
4 1 3
Direct
0.000 0.000 0.109 Tl
0.000 0.000 0.370 Tl
0.000 0.000 0.630 Tl
0.000 0.000 0.891 Tl
0.500 0.500 0.000 Ag
0.500 0.500 0.240 Hg
0.500 0.500 0.500 Hg
0.500 0.500 0.760 Hg
```

Principal peaks in the range 10 to 80 degrees two-theta, most intense first:
d 2.753, 2θ = 32.52°, rel. 100; d 2.536, 2θ = 35.39°, rel. 43; d 1.503, 2θ = 61.73°, rel. 33; d 1.639, 2θ = 56.12°, rel. 18; d 1.793, 2θ = 50.92°, rel. 15; d 2.147, 2θ = 42.08°, rel. 10; d 1.377, 2θ = 68.12°, rel. 10; d 1.330, 2θ = 70.87°, rel. 6; d 1.268, 2θ = 74.88°, rel. 5; d 3.040, 2θ = 29.38°, rel. 5